The following is a calculated powder diffractogram of TmV2CrO8. It was derived from a DFT-relaxed cell (PBE+U, Alexandria), using a wavelength of 1.5418 Å.

The 6 most intense peaks (15° ≤ 2θ ≤ 90°), most intense first:
2θ (°)	I/Imax
25.90	100.0
33.94	73.2
51.04	59.3
19.12	45.8
18.24	22.7
64.67	17.3

Crystal structure
```
TmV2CrO8
1.0
-3.4401 3.4401 3.1453
3.4401 -3.4401 3.1453
3.4401 3.4401 -3.1453
Tm V Cr O
1 2 1 8
Direct
0.0000 0.0000 0.0000
0.5000 0.5000 0.0000
0.7500 0.2500 0.5000
0.2500 0.7500 0.5000
0.3236 0.1256 0.8021
0.3236 0.5215 0.1979
0.3815 0.0714 0.3101
0.4785 0.6764 0.8021
0.7613 0.0714 0.6899
0.8744 0.6764 0.1979
0.9286 0.2387 0.3101
0.9286 0.6185 0.6899
```